The following is a simulated powder diffractogram of Li2FePCO7. It was derived from a PBE+U-relaxed structure, using Cu Kα (weighted mean of Kα1 and Kα2).
Intensities are scaled so that the largest is 100.

Most intense lines, 2θ = 10–90°, by angle:
d/Å, I_rel
8.494, 100
5.316, 19
4.826, 15
4.413, 23
4.233, 25
3.722, 13
3.320, 26
3.168, 14
3.144, 46
1.991, 13

Crystal structure
```
Li2FePCO7
1.0
5.038 0.000 0.000
-0.486 6.320 0.000
-0.339 -0.861 8.494
Li Fe P C O
4 2 2 2 14
direct
0.162 0.028 0.210
0.252 0.539 0.231
0.748 0.461 0.769
0.838 0.972 0.790
0.306 0.750 0.648
0.694 0.250 0.352
0.208 0.242 0.578
0.792 0.758 0.422
0.245 0.749 0.938
0.755 0.251 0.062
0.043 0.711 0.830
0.086 0.700 0.446
0.208 0.055 0.682
0.208 0.754 0.084
0.325 0.178 0.416
0.378 0.439 0.659
0.476 0.782 0.878
0.524 0.218 0.122
0.622 0.561 0.341
0.675 0.822 0.584
0.792 0.246 0.916
0.792 0.945 0.318
0.914 0.300 0.554
0.957 0.289 0.170
```